Diffraction record for Ca2ZnIn6Ag. The X-ray powder pattern is calculated, not measured: it uses a structure optimized by DFT (PBE) and copper Kα.
Neutral-atom scattering factors, no anomalous dispersion.

Peak list (12 most intense, 2θ from 10° to 80°, low angle first)
| (hkl) | d [Å] | two_theta | Rel. int. |
| --- | --- | --- | --- |
| 0 1 5 | 4.757 | 18.65 | 54 |
| 1 0 7 | 4.004 | 22.20 | 20 |
| 0 0 12 | 3.027 | 29.51 | 31 |
| 2 0 5 | 2.888 | 30.97 | 81 |
| 0 2 7 | 2.691 | 33.30 | 100 |
| 0 2 10 | 2.378 | 37.83 | 27 |
| 1 2 2 | 2.359 | 38.16 | 67 |
| 1 1 12 | 2.326 | 38.72 | 24 |
| 2 1 4 | 2.301 | 39.15 | 25 |
| 2 0 14 | 2.002 | 45.30 | 24 |
| 3 0 9 | 1.861 | 48.93 | 23 |
| 2 2 0 | 1.817 | 50.22 | 40 |

Lattice parameters (Å, degrees): 7.2673 7.2673 36.3223 90.00 90.00 120.00
Space group R-3m (No. 166, hexagonal axes)
Symmetry-distinct sites (fractional):
Ca  0.0000  0.0000  0.1070
Ca  0.0000  0.0000  0.2853
Zn  0.0000  0.0000  0.4276
In  0.0492  0.5246  0.2975
In  0.0598  0.5299  0.8700
Ag  0.0000  0.0000  0.0000
Ag  0.0000  0.0000  0.5000